# Sr7CaTi5Mn3O24
Computed X-ray diffraction stick pattern, Cu Kα. Input: a DFT-relaxed cell (GGA+U, Alexandria).
Neutral-atom scattering factors, no anomalous dispersion.

Principal peaks in the range 10° ≤ 2θ ≤ 90°, by angle:
d 2.775, 32.25°, rel. 196; d 2.762, 32.42°, rel. 1000; d 1.959, 46.34°, rel. 328; d 1.946, 46.69°, rel. 155; d 1.600, 57.62°, rel. 158; d 1.595, 57.79°, rel. 188; d 1.592, 57.94°, rel. 116; d 1.381, 67.90°, rel. 175

Atomic structure:
Cell lengths 7.837, 7.837, 7.782 Å; angles 90.03, 90.03, 89.80 degrees
Fractional positions:
Sr (0.000, 0.000, 0.000)
Sr (0.000, 0.000, 0.493)
Sr (0.000, 0.499, 0.492)
Sr (0.002, 0.499, 0.998)
Sr (0.499, 0.000, 0.492)
Sr (0.499, 0.002, 0.998)
Sr (0.501, 0.501, 0.492)
Ca (0.495, 0.495, 0.002)
Ti (0.248, 0.248, 0.746)
Ti (0.249, 0.747, 0.748)
Ti (0.747, 0.249, 0.748)
Ti (0.747, 0.747, 0.747)
Ti (0.748, 0.748, 0.245)
Mn (0.251, 0.251, 0.245)
Mn (0.251, 0.750, 0.245)
Mn (0.750, 0.251, 0.245)
O (0.001, 0.253, 0.271)
O (0.003, 0.753, 0.760)
O (0.004, 0.255, 0.727)
O (0.004, 0.750, 0.229)
O (0.231, 0.231, 0.999)
O (0.237, 0.729, 0.491)
O (0.253, 0.001, 0.271)
O (0.255, 0.004, 0.727)
O (0.258, 0.502, 0.212)
O (0.258, 0.503, 0.768)
O (0.267, 0.772, 0.998)
O (0.272, 0.272, 0.491)
O (0.499, 0.751, 0.259)
O (0.502, 0.258, 0.212)
O (0.502, 0.754, 0.729)
O (0.503, 0.258, 0.768)
O (0.729, 0.237, 0.491)
O (0.733, 0.733, 0.995)
O (0.750, 0.004, 0.229)
O (0.751, 0.499, 0.259)
O (0.753, 0.003, 0.760)
O (0.754, 0.502, 0.729)
O (0.765, 0.765, 0.493)
O (0.772, 0.267, 0.998)